Cs3SnTe3: simulated powder diffraction line list (a wavelength of 1.5418 Å), based on DFT lattice parameters and positions (GGA-PBE).

Crystal structure
a b c (Å): 11.672 11.672 10.616
angles (deg): 95.22 95.22 80.79
Atoms (fractional coordinates):
Cs 0.090 0.910 0.750
Cs 0.169 0.652 0.368
Cs 0.241 0.249 0.741
Cs 0.249 0.241 0.241
Cs 0.348 0.831 0.132
Cs 0.409 0.591 0.750
Cs 0.591 0.409 0.250
Cs 0.652 0.169 0.868
Cs 0.751 0.759 0.759
Cs 0.759 0.751 0.259
Cs 0.831 0.348 0.632
Cs 0.910 0.090 0.250
Sn 0.077 0.575 0.958
Sn 0.425 0.923 0.542
Sn 0.575 0.077 0.458
Sn 0.923 0.425 0.042
Te 0.009 0.801 0.058
Te 0.062 0.567 0.693
Te 0.199 0.991 0.442
Te 0.304 0.494 0.050
Te 0.433 0.938 0.807
Te 0.494 0.304 0.550
Te 0.506 0.696 0.450
Te 0.567 0.062 0.193
Te 0.696 0.506 0.950
Te 0.801 0.009 0.558
Te 0.938 0.433 0.307
Te 0.991 0.199 0.942

Principal peaks in the range 5° ≤ 2θ ≤ 70°, sorted by position:
d 3.602, 2θ 24.72, I 264; d 3.512, 2θ 25.36, I 1000; d 3.476, 2θ 25.63, I 412; d 3.435, 2θ 25.94, I 682; d 3.386, 2θ 26.32, I 464; d 3.252, 2θ 27.43, I 323; d 3.200, 2θ 27.88, I 236; d 2.967, 2θ 30.12, I 273; d 2.802, 2θ 31.94, I 256; d 2.054, 2θ 44.08, I 449

CsTl2SnTe4: simulated powder diffraction line list (a wavelength of 1.5418 Å), based on DFT lattice parameters and positions (GGA-PBE).

Crystal structure
a b c (Å): 9.469 9.469 9.037
angles (deg): 118.46 118.46 62.40
Atoms (fractional coordinates):
Cs 0.000 0.000 0.000
Cs 0.000 0.000 0.500
Tl 0.000 0.500 0.000
Tl 0.500 0.000 0.000
Tl 0.500 0.500 0.000
Tl 0.500 0.500 0.500
Sn 0.000 0.500 0.500
Sn 0.500 0.000 0.500
Te 0.268 0.268 0.285
Te 0.268 0.268 0.751
Te 0.280 0.703 0.741
Te 0.297 0.720 0.259
Te 0.703 0.280 0.741
Te 0.720 0.297 0.259
Te 0.732 0.732 0.249
Te 0.732 0.732 0.715

Principal peaks in the range 5° ≤ 2θ ≤ 70°, sorted by position:
d 7.926, 2θ 11.16, I 143; d 3.363, 2θ 26.51, I 518; d 3.323, 2θ 26.83, I 1000; d 2.453, 2θ 36.64, I 192; d 2.364, 2θ 38.07, I 752; d 2.259, 2θ 39.90, I 178; d 1.982, 2θ 45.79, I 195; d 1.662, 2θ 55.28, I 113; d 1.500, 2θ 61.84, I 163; d 1.398, 2θ 66.92, I 100